# 1
Starting from the PBE geometry in Alexandria, the powder diffractogram of Rb4ClO was calculated for Cu Kα.
Kinematic intensities with the Lorentz-polarization factor, no thermal factor.

Structural model:
```
data_Rb4ClO
_chemical_formula_sum 'Rb16 Cl4 O4'
_cell_length_a 9.072
_cell_length_b 17.847
_cell_length_c 7.940
_cell_angle_alpha 90.00
_cell_angle_beta 121.53
_cell_angle_gamma 90.00
_symmetry_space_group_name_H-M 'C 1 2/c 1'
_symmetry_Int_Tables_number 15
loop_
_symmetry_equiv_pos_as_xyz
'x,y,z'
'-x,-y,-z'
'-x,y,-z+1/2'
'x,-y,z+1/2'
'x+1/2,y+1/2,z'
'-x+1/2,-y+1/2,-z'
'-x+1/2,y+1/2,-z+1/2'
'x+1/2,-y+1/2,z+1/2'
loop_
_atom_site_label
_atom_site_type_symbol
_atom_site_fract_x
_atom_site_fract_y
_atom_site_fract_z
_atom_site_occupancy
Rb1 Rb 0.190 0.051 0.169 1
Rb2 Rb 0.223 0.169 0.772 1
Cl1 Cl 0.000 0.320 0.750 1
O1 O 0.000 0.060 0.750 1
```

Main lines, in order of rising 2θ (2θ = 15–90°):
hkl  Position (°2θ)  I_rel
2 0 0  23.01  41
0 4 1  23.89  72
2 0 -2  24.26  38
0 0 2  26.32  62
2 4 -1  28.07  100
2 4 1  38.06  23
2 4 -3  39.67  25
3 3 -4  48.91  22

=====

# 2
Starting from the PBE geometry in Alexandria, the powder diffractogram of Pr2GeSe4 was calculated for Cu Kα.
Kinematic intensities with the Lorentz-polarization factor, no thermal factor.

Structural model:
```
data_Pr2GeSe4
_chemical_formula_sum 'Pr4 Ge2 Se8'
_cell_length_a 7.137
_cell_length_b 7.137
_cell_length_c 7.930
_cell_angle_alpha 90.00
_cell_angle_beta 90.00
_cell_angle_gamma 90.00
_symmetry_space_group_name_H-M 'I -4 2 m'
_symmetry_Int_Tables_number 121
_symmetry_space_group_name_Hall 'I -4 2'
loop_
_atom_site_label
_atom_site_type_symbol
_atom_site_fract_x
_atom_site_fract_y
_atom_site_fract_z
_atom_site_occupancy
Pr1 Pr 0.000 0.500 0.250 1
Ge1 Ge 0.000 0.000 0.000 1
Se1 Se 0.239 0.239 0.556 1
```

Main lines, in order of rising 2θ (2θ = 15–90°):
hkl  Position (°2θ)  I_rel
1 1 0  17.57  40
1 1 2  28.63  100
2 0 2  33.79  76
2 2 0  35.58  74
3 1 2  46.29  52
1 1 4  49.39  18
4 0 0  51.19  25
4 2 2  62.76  24

=====

# 3
Starting from the PBE geometry in Alexandria, the powder diffractogram of Sr2Sc was calculated for Cu Kα.
Kinematic intensities with the Lorentz-polarization factor, no thermal factor.

Structural model:
```
data_Sr2Sc
_chemical_formula_sum 'Sr4 Sc2'
_cell_length_a 4.132
_cell_length_b 4.132
_cell_length_c 14.423
_cell_angle_alpha 90.00
_cell_angle_beta 90.00
_cell_angle_gamma 90.00
_symmetry_space_group_name_H-M 'I 4/m m m'
_symmetry_Int_Tables_number 139
_symmetry_space_group_name_Hall '-I 4 2'
loop_
_atom_site_label
_atom_site_type_symbol
_atom_site_fract_x
_atom_site_fract_y
_atom_site_fract_z
_atom_site_occupancy
Sr1 Sr 0.000 0.000 0.148 1
Sc1 Sc 0.000 0.000 0.500 1
```

Main lines, in order of rising 2θ (2θ = 15–90°):
hkl  Position (°2θ)  I_rel
1 0 1  22.38  14
1 0 3  28.48  100
1 1 0  30.59  46
1 1 4  39.70  10
2 0 0  43.82  17
1 1 6  49.07  15
2 1 3  53.09  33
2 0 6  58.94  9